Simulated X-ray diffraction stick pattern
Compound: SmY12Er7
Radiation: Cu Kα (λ = 1.5418 Å)
Structure: the GGA-PBE geometry in Alexandria
Lines closer than 0.1° are merged.

Top 10 peaks for 2θ = 10–80°, in order of falling intensity:
2.808 Å, 31.9°, I = 100
3.006 Å, 29.7°, I = 50
2.284 Å, 39.5°, I = 37
2.900 Å, 30.8°, I = 37
2.138 Å, 42.3°, I = 34
1.656 Å, 55.5°, I = 19
4.303 Å, 20.6°, I = 15
3.252 Å, 27.4°, I = 15
1.780 Å, 51.3°, I = 13
1.915 Å, 47.5°, I = 13

Structural model:
abc: 8.6864 8.6864 8.6864
angles: 95.24 95.24 95.24
Fractional coordinates of all 20 atoms:
Sm: 0.0000 0.0000 0.0000
Y: 0.1474 0.4146 0.4767
Y: 0.1870 0.7506 0.3153
Y: 0.2494 0.6847 0.8130
Y: 0.3153 0.1870 0.7506
Y: 0.4146 0.4767 0.1474
Y: 0.4767 0.1474 0.4146
Y: 0.5233 0.8526 0.5854
Y: 0.5854 0.5233 0.8526
Y: 0.6847 0.8130 0.2494
Y: 0.7506 0.3153 0.1870
Y: 0.8130 0.2494 0.6847
Y: 0.8526 0.5854 0.5233
Er: 0.0187 0.0818 0.3515
Er: 0.0818 0.3515 0.0187
Er: 0.3515 0.0187 0.0818
Er: 0.5000 0.5000 0.5000
Er: 0.6485 0.9813 0.9182
Er: 0.9182 0.6485 0.9813
Er: 0.9813 0.9182 0.6485